Structure and theoretical powder diffraction line list of NaAuS4O14 (a crystal structure in OQMD, relaxed with PBE; copper Kα).
Neutral-atom scattering factors, no anomalous dispersion.

```
data_NaAuS4O14
_cell_length_a 5.268
_cell_length_b 11.828
_cell_length_c 9.691
_cell_angle_alpha 90.00
_cell_angle_beta 114.81
_cell_angle_gamma 90.00
_symmetry_space_group_name_H-M 'P 1 21/c 1'
_symmetry_Int_Tables_number 14
loop_
_symmetry_equiv_pos_as_xyz
'x,y,z'
'-x,-y,-z'
'-x,y+1/2,-z+1/2'
'x,-y+1/2,z+1/2'
loop_
_atom_site_label
_atom_site_fract_x
_atom_site_fract_y
_atom_site_fract_z
Na1 0.000 0.000 0.000
Au1 0.500 0.000 0.500
S1 0.276 0.037 0.742
S2 0.354 0.230 0.583
O1 0.051 0.001 0.778
O2 0.171 0.159 0.660
O3 0.179 0.174 0.022
O4 0.269 0.541 0.114
O5 0.321 0.155 0.447
O6 0.364 0.741 0.807
O7 0.450 0.552 0.639
```

Top 6 peaks for 2θ from 15° to 90°, in order of falling intensity:
| 2theta | I_rel |
| --- | --- |
| 25.8 | 100 |
| 18.6 | 66 |
| 29.3 | 50 |
| 30.2 | 31 |
| 36.4 | 24 |
| 33.6 | 21 |

=====

Structure and theoretical powder diffraction line list of NaOsAu3Se4 (a crystal structure in OQMD, relaxed with PBE; copper Kα).
Neutral-atom scattering factors, no anomalous dispersion.

```
data_NaOsAu3Se4
_cell_length_a 6.362
_cell_length_b 6.362
_cell_length_c 6.362
_cell_angle_alpha 90.00
_cell_angle_beta 90.00
_cell_angle_gamma 90.00
_symmetry_space_group_name_H-M 'P -4 3 m'
_symmetry_Int_Tables_number 215
_symmetry_space_group_name_Hall 'P -4 2 3'
loop_
_atom_site_label
_atom_site_fract_x
_atom_site_fract_y
_atom_site_fract_z
Na1 0.000 0.000 0.000
Os1 0.500 0.500 0.500
Au1 0.000 0.500 0.500
Se1 0.281 0.281 0.281
```

Top 6 peaks for 2θ from 15° to 90°, in order of falling intensity:
| 2theta | I_rel |
| --- | --- |
| 40.1 | 100 |
| 24.2 | 59 |
| 31.4 | 30 |
| 72.8 | 30 |
| 28.0 | 28 |
| 47.4 | 28 |

=====

Structure and theoretical powder diffraction line list of NaTeOsAuSe2 (a crystal structure in OQMD, relaxed with PBE; copper Kα).
Neutral-atom scattering factors, no anomalous dispersion.

```
data_NaTeOsAuSe2
_cell_length_a 3.551
_cell_length_b 15.606
_cell_length_c 10.497
_cell_angle_alpha 90.00
_cell_angle_beta 90.00
_cell_angle_gamma 90.00
_symmetry_space_group_name_H-M 'C m c m'
_symmetry_Int_Tables_number 63
_symmetry_space_group_name_Hall '-C 2c 2'
loop_
_atom_site_label
_atom_site_fract_x
_atom_site_fract_y
_atom_site_fract_z
Na1 0.000 0.221 0.250
Te1 0.000 0.450 0.750
Os1 0.000 0.500 0.000
Au1 0.000 0.130 0.750
Se1 0.000 0.116 0.517
```

Top 6 peaks for 2θ from 15° to 90°, in order of falling intensity:
| 2theta | I_rel |
| --- | --- |
| 30.5 | 100 |
| 34.2 | 63 |
| 46.4 | 61 |
| 31.7 | 46 |
| 51.5 | 42 |
| 38.4 | 36 |

=====

Structure and theoretical powder diffraction line list of Na3PbAu2 (a crystal structure in OQMD, relaxed with PBE; copper Kα).
Neutral-atom scattering factors, no anomalous dispersion.

```
data_Na3PbAu2
_cell_length_a 5.750
_cell_length_b 10.175
_cell_length_c 10.082
_cell_angle_alpha 90.00
_cell_angle_beta 90.00
_cell_angle_gamma 90.00
_symmetry_space_group_name_H-M 'F m m 2'
_symmetry_Int_Tables_number 42
_symmetry_space_group_name_Hall 'F 2 -2'
loop_
_atom_site_label
_atom_site_fract_x
_atom_site_fract_y
_atom_site_fract_z
Na1 0.000 0.000 0.000
Na2 0.000 0.161 0.662
Pb1 0.000 0.000 0.335
Au1 0.250 0.250 0.410
```

Top 6 peaks for 2θ from 15° to 90°, in order of falling intensity:
| 2theta | I_rel |
| --- | --- |
| 17.6 | 100 |
| 35.9 | 69 |
| 40.2 | 68 |
| 19.8 | 40 |
| 39.7 | 36 |
| 39.9 | 30 |

=====

Structure and theoretical powder diffraction line list of Na2PdPb4Au (a crystal structure in OQMD, relaxed with PBE; copper Kα).
Neutral-atom scattering factors, no anomalous dispersion.

```
data_Na2PdPb4Au
_cell_length_a 4.512
_cell_length_b 8.339
_cell_length_c 6.036
_cell_angle_alpha 90.00
_cell_angle_beta 111.48
_cell_angle_gamma 90.00
_symmetry_space_group_name_H-M 'P 1 m 1'
_symmetry_Int_Tables_number 6
loop_
_symmetry_equiv_pos_as_xyz
'x,y,z'
'x,-y,z'
loop_
_atom_site_label
_atom_site_fract_x
_atom_site_fract_y
_atom_site_fract_z
Na1 0.000 0.000 0.000
Na2 0.135 0.500 0.265
Pd1 0.283 0.000 0.560
Pb1 0.422 0.291 0.846
Pb2 0.711 0.196 0.415
Au1 0.853 0.500 0.707
```

Top 6 peaks for 2θ from 15° to 90°, in order of falling intensity:
| 2theta | I_rel |
| --- | --- |
| 38.9 | 100 |
| 30.3 | 98 |
| 15.8 | 66 |
| 19.0 | 58 |
| 37.9 | 56 |
| 38.1 | 55 |

=====

Structure and theoretical powder diffraction line list of NaTe2PbAuSe (a crystal structure in OQMD, relaxed with PBE; copper Kα).
Neutral-atom scattering factors, no anomalous dispersion.

```
data_NaTe2PbAuSe
_cell_length_a 4.195
_cell_length_b 13.798
_cell_length_c 11.684
_cell_angle_alpha 90.00
_cell_angle_beta 90.00
_cell_angle_gamma 90.00
_symmetry_space_group_name_H-M 'C m c m'
_symmetry_Int_Tables_number 63
_symmetry_space_group_name_Hall '-C 2c 2'
loop_
_atom_site_label
_atom_site_fract_x
_atom_site_fract_y
_atom_site_fract_z
Na1 0.000 0.229 0.250
Te1 0.000 0.172 0.564
Pb1 0.000 0.500 0.000
Au1 0.000 0.040 0.750
Se1 0.000 0.429 0.750
```

Top 6 peaks for 2θ from 15° to 90°, in order of falling intensity:
| 2theta | I_rel |
| --- | --- |
| 32.7 | 100 |
| 27.0 | 41 |
| 33.3 | 33 |
| 28.8 | 33 |
| 42.2 | 31 |
| 30.6 | 30 |

=====

Structure and theoretical powder diffraction line list of Na2Sn3PbAu2 (a crystal structure in OQMD, relaxed with PBE; copper Kα).
Neutral-atom scattering factors, no anomalous dispersion.

```
data_Na2Sn3PbAu2
_cell_length_a 4.555
_cell_length_b 6.070
_cell_length_c 7.991
_cell_angle_alpha 90.34
_cell_angle_beta 90.02
_cell_angle_gamma 111.84
_symmetry_space_group_name_H-M 'P 1'
_symmetry_Int_Tables_number 1
loop_
_symmetry_equiv_pos_as_xyz
'x,y,z'
loop_
_atom_site_label
_atom_site_fract_x
_atom_site_fract_y
_atom_site_fract_z
Na1 0.000 0.000 0.000
Na2 0.140 0.278 0.508
Sn1 0.429 0.857 0.712
Sn2 0.702 0.402 0.804
Sn3 0.722 0.440 0.208
Pb1 0.438 0.877 0.304
Au1 0.275 0.547 0.998
Au2 0.857 0.713 0.522
```

Top 6 peaks for 2θ from 15° to 90°, in order of falling intensity:
| 2theta | I_rel |
| --- | --- |
| 15.7 | 100 |
| 30.8 | 79 |
| 39.6 | 67 |
| 38.5 | 67 |
| 40.1 | 60 |
| 40.0 | 60 |

=====

Structure and theoretical powder diffraction line list of NaSnPbAu (a crystal structure in OQMD, relaxed with PBE; copper Kα).
Neutral-atom scattering factors, no anomalous dispersion.

```
data_NaSnPbAu
_cell_length_a 4.590
_cell_length_b 6.076
_cell_length_c 8.136
_cell_angle_alpha 90.72
_cell_angle_beta 90.04
_cell_angle_gamma 112.03
_symmetry_space_group_name_H-M 'P -1'
_symmetry_Int_Tables_number 2
loop_
_symmetry_equiv_pos_as_xyz
'x,y,z'
'-x,-y,-z'
loop_
_atom_site_label
_atom_site_fract_x
_atom_site_fract_y
_atom_site_fract_z
Na1 0.070 0.139 0.257
Sn1 0.365 0.731 0.454
Pb1 0.356 0.714 0.050
Au1 0.210 0.418 0.726
```

Top 6 peaks for 2θ from 15° to 90°, in order of falling intensity:
| 2theta | I_rel |
| --- | --- |
| 30.5 | 100 |
| 15.7 | 93 |
| 39.2 | 89 |
| 38.3 | 72 |
| 32.6 | 70 |
| 39.3 | 57 |

=====

Structure and theoretical powder diffraction line list of NaSnPbAu (a crystal structure in OQMD, relaxed with PBE; copper Kα).
Neutral-atom scattering factors, no anomalous dispersion.

```
data_NaSnPbAu
_cell_length_a 4.593
_cell_length_b 8.091
_cell_length_c 6.106
_cell_angle_alpha 90.00
_cell_angle_beta 111.94
_cell_angle_gamma 90.00
_symmetry_space_group_name_H-M 'P 1 21 1'
_symmetry_Int_Tables_number 4
loop_
_symmetry_equiv_pos_as_xyz
'x,y,z'
'-x,y+1/2,-z'
loop_
_atom_site_label
_atom_site_fract_x
_atom_site_fract_y
_atom_site_fract_z
Na1 0.071 0.000 0.141
Sn1 0.345 0.788 0.689
Pb1 0.376 0.194 0.752
Au1 0.207 0.484 0.416
```

Top 6 peaks for 2θ from 15° to 90°, in order of falling intensity:
| 2theta | I_rel |
| --- | --- |
| 38.0 | 100 |
| 39.6 | 99 |
| 30.5 | 93 |
| 19.1 | 80 |
| 32.6 | 70 |
| 15.6 | 67 |

=====

Structure and theoretical powder diffraction line list of Na2SnPb3Au2 (a crystal structure in OQMD, relaxed with PBE; copper Kα).
Neutral-atom scattering factors, no anomalous dispersion.

```
data_Na2SnPb3Au2
_cell_length_a 4.616
_cell_length_b 6.128
_cell_length_c 8.253
_cell_angle_alpha 90.37
_cell_angle_beta 90.01
_cell_angle_gamma 112.04
_symmetry_space_group_name_H-M 'P 1'
_symmetry_Int_Tables_number 1
loop_
_symmetry_equiv_pos_as_xyz
'x,y,z'
loop_
_atom_site_label
_atom_site_fract_x
_atom_site_fract_y
_atom_site_fract_z
Na1 0.000 0.000 0.000
Na2 0.142 0.280 0.507
Sn1 0.423 0.846 0.709
Pb1 0.432 0.863 0.306
Pb2 0.699 0.397 0.802
Pb3 0.717 0.432 0.208
Au1 0.286 0.571 0.996
Au2 0.867 0.734 0.522
```

Top 6 peaks for 2θ from 15° to 90°, in order of falling intensity:
| 2theta | I_rel |
| --- | --- |
| 39.0 | 100 |
| 30.1 | 91 |
| 15.6 | 69 |
| 37.8 | 56 |
| 38.9 | 50 |
| 37.6 | 47 |

=====

Structure and theoretical powder diffraction line list of NaTePdAuS2 (a crystal structure in OQMD, relaxed with PBE; copper Kα).
Neutral-atom scattering factors, no anomalous dispersion.

```
data_NaTePdAuS2
_cell_length_a 3.535
_cell_length_b 15.428
_cell_length_c 10.544
_cell_angle_alpha 90.00
_cell_angle_beta 90.00
_cell_angle_gamma 90.00
_symmetry_space_group_name_H-M 'C m c m'
_symmetry_Int_Tables_number 63
_symmetry_space_group_name_Hall '-C 2c 2'
loop_
_atom_site_label
_atom_site_fract_x
_atom_site_fract_y
_atom_site_fract_z
Na1 0.000 0.232 0.250
Te1 0.000 0.435 0.750
Pd1 0.000 0.500 0.000
Au1 0.000 0.115 0.750
S1 0.000 0.106 0.529
```

Top 6 peaks for 2θ from 15° to 90°, in order of falling intensity:
| 2theta | I_rel |
| --- | --- |
| 31.9 | 100 |
| 34.0 | 54 |
| 30.7 | 49 |
| 36.0 | 46 |
| 40.2 | 40 |
| 27.2 | 40 |

=====

Structure and theoretical powder diffraction line list of NaTe2PtAuS (a crystal structure in OQMD, relaxed with PBE; copper Kα).
Neutral-atom scattering factors, no anomalous dispersion.

```
data_NaTe2PtAuS
_cell_length_a 4.121
_cell_length_b 12.637
_cell_length_c 11.204
_cell_angle_alpha 90.00
_cell_angle_beta 90.00
_cell_angle_gamma 90.00
_symmetry_space_group_name_H-M 'C m c m'
_symmetry_Int_Tables_number 63
_symmetry_space_group_name_Hall '-C 2c 2'
loop_
_atom_site_label
_atom_site_fract_x
_atom_site_fract_y
_atom_site_fract_z
Na1 0.000 0.204 0.250
Te1 0.000 0.135 0.518
Pt1 0.000 0.500 0.000
Au1 0.000 0.108 0.750
S1 0.000 0.470 0.750
```

Top 6 peaks for 2θ from 15° to 90°, in order of falling intensity:
| 2theta | I_rel |
| --- | --- |
| 30.3 | 100 |
| 32.0 | 69 |
| 44.6 | 64 |
| 16.1 | 58 |
| 41.9 | 35 |
| 53.7 | 34 |

=====

Please write out number 11 again, unchanged.
Structure and theoretical powder diffraction line list of NaTePdAuS2 (a crystal structure in OQMD, relaxed with PBE; copper Kα).
Neutral-atom scattering factors, no anomalous dispersion.

```
data_NaTePdAuS2
_cell_length_a 3.535
_cell_length_b 15.428
_cell_length_c 10.544
_cell_angle_alpha 90.00
_cell_angle_beta 90.00
_cell_angle_gamma 90.00
_symmetry_space_group_name_H-M 'C m c m'
_symmetry_Int_Tables_number 63
_symmetry_space_group_name_Hall '-C 2c 2'
loop_
_atom_site_label
_atom_site_fract_x
_atom_site_fract_y
_atom_site_fract_z
Na1 0.000 0.232 0.250
Te1 0.000 0.435 0.750
Pd1 0.000 0.500 0.000
Au1 0.000 0.115 0.750
S1 0.000 0.106 0.529
```

Top 6 peaks for 2θ from 15° to 90°, in order of falling intensity:
| 2theta | I_rel |
| --- | --- |
| 31.9 | 100 |
| 34.0 | 54 |
| 30.7 | 49 |
| 36.0 | 46 |
| 40.2 | 40 |
| 27.2 | 40 |

=====

> What is the formula in the third record?

NaTeOsAuSe2